This entry pairs a crystal structure of SrCaVInO6 with its calculated powder diffraction line list. Radiation: Cu Kα, 1.54184 Å. Structure: a crystal structure in Alexandria, relaxed with GGA+U.
Neutral-atom scattering factors, no anomalous dispersion.

Crystal structure
Cell: 5.670 5.670 5.670 Å, 60.00 60.00 60.00°
Positions (direct):
Sr1 0.000 0.000 0.000
Ca1 0.500 0.500 0.500
V1 0.750 0.750 0.750
In1 0.250 0.250 0.250
O1 0.515 0.515 0.985
O2 0.515 0.985 0.515
O3 0.515 0.985 0.985
O4 0.985 0.515 0.515
O5 0.985 0.515 0.985
O6 0.985 0.985 0.515

Top 10 peaks for 10° ≤ 2θ ≤ 90°, by angle:
| two_theta | intensity |
| --- | --- |
| 19.17 | 160 |
| 22.17 | 94 |
| 31.56 | 1000 |
| 37.19 | 127 |
| 45.23 | 382 |
| 49.55 | 70 |
| 56.20 | 372 |
| 65.89 | 217 |
| 74.90 | 164 |
| 83.53 | 70 |